Starting from a GGA+U-relaxed structure, the XRD peak list of Sr2TaMnO6 was simulated for Cu Ka.

Peak list (8 most intense, 2θ from 10° to 80°, sorted by position)
2theta, intensity
19.1, 23
22.1, 8
31.5, 100
37.1, 13
45.1, 33
56.1, 40
65.7, 20
74.7, 17

Crystal structure
a b c (Å): 5.6816 5.6816 5.6816
angles (deg): 60.00 60.00 60.00
Atoms (fractional coordinates):
Sr 0.2500 0.2500 0.2500
Sr 0.7500 0.7500 0.7500
Ta 0.0000 0.0000 0.0000
Mn 0.5000 0.5000 0.5000
O 0.2474 0.2474 0.7526
O 0.2474 0.7526 0.2474
O 0.2474 0.7526 0.7526
O 0.7526 0.2474 0.2474
O 0.7526 0.2474 0.7526
O 0.7526 0.7526 0.2474